Zn3Ga2S6: computed X-ray powder pattern (Cu Kα (λ = 1.5418 Å)), based on DFT lattice parameters and positions (GGA-PBE).

Crystal structure
Cell lengths 3.7758, 3.7758, 18.1342 Å; angles 90.00, 90.00, 120.00 degrees
Fractional coordinates of all 11 atoms:
Zn (0.0000, 0.0000, 0.0000)
Zn (0.0000, 0.0000, 0.4225)
Zn (0.6667, 0.3333, 0.5987)
Ga (0.3333, 0.6667, 0.8004)
Ga (0.6667, 0.3333, 0.1802)
S (0.0000, 0.0000, 0.2272)
S (0.0000, 0.0000, 0.5584)
S (0.0000, 0.0000, 0.8749)
S (0.6667, 0.3333, 0.0509)
S (0.6667, 0.3333, 0.3797)
S (0.6667, 0.3333, 0.7337)

Peak list (6 most intense, 10° ≤ 2θ ≤ 80°, sorted by position)
2θ (°)	I/Imax	hkl
24.54	60	0 0 5
29.03	100	1 0 2
44.62	46	1 0 7
48.20	70	1 1 0
53.41	40	0 1 9
54.82	37	1 1 5